Calculated powder X-ray diffraction pattern
Compound: Pr3Sm2Ho2
Radiation: λ = 1.5418 Å (Cu Kα)
Structure: a structure optimized by DFT (PBE)
No peak broadening, texture or thermal motion is included.

Top 10 peaks for 2θ from 5° to 70°, in order of falling intensity:
- 2.932 Å, intensity 100.0
- 2.909 Å, intensity 69.3
- 2.704 Å, intensity 68.9
- 2.836 Å, intensity 63.3
- 3.030 Å, intensity 50.1
- 2.517 Å, intensity 38.2
- 3.287 Å, intensity 33.6
- 1.519 Å, intensity 21.8
- 1.745 Å, intensity 21.6
- 1.516 Å, intensity 19.6

Cell and atoms:
```
data_Pr3Sm2Ho2
_space_group_name_H-M_alt 'C 1 2/m 1'
_space_group_IT_number 12
_space_group_name_Hall '-C 2y'
_cell_length_a 17.8056
_cell_length_b 3.5524
_cell_length_c 8.6620
_cell_angle_alpha 90.00
_cell_angle_beta 118.74
_cell_angle_gamma 90.00
loop_
_atom_site_label
_atom_site_type_symbol
_atom_site_fract_x
_atom_site_fract_y
_atom_site_fract_z
Pr1 Pr 0.0000 0.0000 0.0000
Pr2 Pr 0.2136 0.0000 0.2963
Sm1 Sm 0.0644 0.5000 0.4109
Ho1 Ho 0.1454 0.0000 0.8280
```